# 1
For Ba3CdMo2O9, DFT lattice parameters and positions (GGA+U) gives the simulated PXRD pattern in this record (Cu Ka).

Structure:
Cell: 5.971 5.971 7.260 Å, 90.00 90.00 120.00°
Atoms (fractional coordinates):
Ba: 0.000 0.000 0.000
Ba: 0.333 0.667 0.671
Ba: 0.667 0.333 0.329
Cd: 0.000 0.000 0.500
Mo: 0.333 0.667 0.167
Mo: 0.667 0.333 0.833
O: 0.000 0.500 0.000
O: 0.176 0.352 0.311
O: 0.176 0.824 0.311
O: 0.352 0.176 0.689
O: 0.500 0.000 0.000
O: 0.500 0.500 0.000
O: 0.648 0.824 0.311
O: 0.824 0.176 0.689
O: 0.824 0.648 0.689

Largest 12 diffraction maxima, most intense first, 2θ = 15–90°:
| two_theta | intensity |
| --- | --- |
| 29.93 | 100 |
| 30.08 | 100 |
| 42.95 | 61 |
| 53.20 | 59 |
| 86.23 | 21 |
| 53.51 | 19 |
| 62.19 | 19 |
| 62.53 | 18 |
| 70.86 | 17 |
| 70.62 | 17 |
| 86.87 | 11 |
| 86.49 | 10 |

# 2
For Ba2Cd2MoO6, DFT lattice parameters and positions (GGA+U) gives the simulated PXRD pattern in this record (Cu Ka).

Structure:
Cell: 6.696 6.696 6.696 Å, 56.90 56.90 56.90°
Atoms (fractional coordinates):
Ba: 0.206 0.206 0.206
Ba: 0.794 0.794 0.794
Cd: 0.408 0.408 0.408
Cd: 0.592 0.592 0.592
Mo: 0.000 0.000 0.000
O: 0.207 0.776 0.776
O: 0.224 0.224 0.793
O: 0.224 0.793 0.224
O: 0.776 0.207 0.776
O: 0.776 0.776 0.207
O: 0.793 0.224 0.224

Largest 12 diffraction maxima, most intense first, 2θ = 15–90°:
| two_theta | intensity |
| --- | --- |
| 27.97 | 100 |
| 31.19 | 75 |
| 51.55 | 42 |
| 42.38 | 33 |
| 49.49 | 20 |
| 57.81 | 17 |
| 67.16 | 16 |
| 72.24 | 13 |
| 57.40 | 13 |
| 79.50 | 11 |
| 81.11 | 9 |
| 85.90 | 8 |